For BaAlCuMoO5, a PBE+U-relaxed structure gives the computed X-ray powder pattern in this record (CuKα).
Intensities are scaled so that the largest is 100.

```
BaAlCuMoO5
1.0
3.8308 0.0000 0.0000
0.0000 3.8308 0.0000
0.0000 0.0000 8.2600
Ba Al Cu Mo O
1 1 1 1 5
Cartesian
0.0000 0.0000 0.0000 Ba
0.0000 0.0000 3.4175 Al
1.9154 1.9154 2.0975 Cu
1.9154 1.9154 5.4513 Mo
0.0000 1.9154 2.2361 O
0.0000 1.9154 4.7261 O
1.9154 0.0000 2.2361 O
1.9154 0.0000 4.7261 O
1.9154 1.9154 7.4814 O
```

Peak list (10 most intense, 15° ≤ 2θ ≤ 90°, by intensity)
h k l, 2theta, I_rel
1 0 2, 31.9, 100
1 0 1, 25.6, 57
1 1 0, 33.1, 48
2 0 0, 47.5, 36
2 1 2, 58.3, 35
0 0 3, 32.5, 25
1 1 3, 47.1, 24
2 0 3, 58.7, 17
2 1 1, 54.7, 14
1 0 5, 61.1, 14